No. 1
# TaPdPbO6
Calculated powder X-ray diffraction pattern, Cu Kα. Input: a GGA-PBE-relaxed structure.

Structural model:
```
data_TaPdPbO6
_chemical_formula_sum 'Ta2 Pd2 Pb2 O12'
_cell_length_a 5.2938
_cell_length_b 5.2938
_cell_length_c 10.0908
_cell_angle_alpha 90.00
_cell_angle_beta 90.00
_cell_angle_gamma 120.00
_space_group_name_H-M_alt 'P -3 1 c'
_space_group_IT_number 163
_space_group_name_Hall '-P 3 2c'
loop_
_atom_site_label
_atom_site_type_symbol
_atom_site_fract_x
_atom_site_fract_y
_atom_site_fract_z
Ta1 Ta 0.3333 0.6667 0.2500
Pd1 Pd 0.3333 0.6667 0.7500
Pb1 Pb 0.0000 0.0000 0.0000
O1 O 0.0043 0.3660 0.1402
```

Principal peaks in the range 2θ from 15° to 90°, in order of rising 2θ:
- 2θ = 26.27°, intensity 1000
- 2θ = 33.87°, intensity 418
- 2θ = 35.59°, intensity 99
- 2θ = 43.36°, intensity 257
- 2θ = 49.94°, intensity 407
- 2θ = 56.12°, intensity 249
- 2θ = 58.45°, intensity 107
- 2θ = 60.59°, intensity 128
- 2θ = 77.40°, intensity 101
- 2θ = 79.40°, intensity 93



No. 2
# TiPdPbO4
Calculated powder X-ray diffraction pattern, Cu Kα. Input: a GGA-PBE-relaxed structure.

Structural model:
```
data_TiPdPbO4
_chemical_formula_sum 'Ti4 Pd4 Pb4 O16'
_cell_length_a 5.9168
_cell_length_b 6.0187
_cell_length_c 11.2461
_cell_angle_alpha 90.00
_cell_angle_beta 90.00
_cell_angle_gamma 90.00
_space_group_name_H-M_alt 'I m m a'
_space_group_IT_number 74
_space_group_name_Hall '-I 2b 2'
loop_
_atom_site_label
_atom_site_type_symbol
_atom_site_fract_x
_atom_site_fract_y
_atom_site_fract_z
Ti1 Ti 0.2500 0.2500 0.2500
Pd1 Pd 0.0000 0.0000 0.0000
Pb1 Pb 0.0000 0.2500 0.5964
O1 O 0.0000 0.0387 0.2633
O2 O 0.2148 0.2500 0.0643
```

Principal peaks in the range 2θ from 15° to 90°, in order of rising 2θ:
- 2θ = 15.76°, intensity 319
- 2θ = 26.41°, intensity 1000
- 2θ = 28.04°, intensity 556
- 2θ = 28.18°, intensity 326
- 2θ = 30.21°, intensity 338
- 2θ = 34.37°, intensity 959
- 2θ = 34.72°, intensity 368
- 2θ = 41.69°, intensity 277
- 2θ = 43.02°, intensity 318
- 2θ = 54.37°, intensity 394



No. 3
# Tm2PdPbO5
Calculated powder X-ray diffraction pattern, Cu Kα. Input: a GGA-PBE-relaxed structure.

Structural model:
```
data_Tm2PdPbO5
_chemical_formula_sum 'Tm4 Pd2 Pb2 O10'
_cell_length_a 6.4375
_cell_length_b 6.4375
_cell_length_c 5.8490
_cell_angle_alpha 90.00
_cell_angle_beta 90.00
_cell_angle_gamma 90.00
_space_group_name_H-M_alt 'P 4/m b m'
_space_group_IT_number 127
_space_group_name_Hall '-P 4 2ab'
loop_
_atom_site_label
_atom_site_type_symbol
_atom_site_fract_x
_atom_site_fract_y
_atom_site_fract_z
Tm1 Tm 0.1733 0.3267 0.0000
Pd1 Pd 0.0000 0.5000 0.5000
Pb1 Pb 0.0000 0.0000 0.5000
O1 O 0.0000 0.0000 0.0000
O2 O 0.1412 0.6412 0.2360
```

Principal peaks in the range 2θ from 15° to 90°, in order of rising 2θ:
- 2θ = 24.78°, intensity 175
- 2θ = 30.57°, intensity 412
- 2θ = 31.06°, intensity 162
- 2θ = 31.73°, intensity 1000
- 2θ = 34.73°, intensity 379
- 2θ = 39.60°, intensity 225
- 2θ = 44.14°, intensity 286
- 2θ = 44.51°, intensity 152
- 2θ = 50.83°, intensity 213
- 2θ = 55.07°, intensity 212